[1]
The following is a simulated X-ray diffraction stick pattern of Ba3As14. It was derived from a structure optimized by DFT (PBE), using Cu Kα (weighted mean of Kα1 and Kα2).
Peak positions follow from Bragg's law for the DFT cell and can differ from measured ones.

Atomic structure:
```
data_Ba3As14
_chemical_formula_sum 'Ba6 As28'
_cell_length_a 6.938
_cell_length_b 13.950
_cell_length_c 12.480
_cell_angle_alpha 90.00
_cell_angle_beta 123.59
_cell_angle_gamma 90.00
_space_group_name_H-M_alt 'P 1 21/c 1'
_space_group_IT_number 14
_space_group_name_Hall '-P 2ybc'
loop_
_atom_site_label
_atom_site_fract_x
_atom_site_fract_y
_atom_site_fract_z
_atom_site_occupancy
Ba1 0.000 0.000 0.000 1
Ba2 0.197 0.158 0.384 1
As1 0.037 0.146 0.643 1
As2 0.253 0.220 0.134 1
As3 0.287 0.000 0.686 1
As4 0.315 0.081 0.873 1
As5 0.348 0.719 0.724 1
As6 0.352 0.686 0.531 1
As7 0.391 0.560 0.822 1
```

Principal peaks in the range 2θ = 5–70°, in order of rising 2θ:
| two_theta | d [Å] | I (rel.) | h k l |
| --- | --- | --- | --- |
| 15.3 | 5.786 | 25 | 0 2 1 |
| 18.0 | 4.919 | 21 | 1 2 -1 |
| 26.5 | 3.364 | 48 | 0 1 3 |
| 28.7 | 3.109 | 32 | 2 2 -2 |
| 28.8 | 3.102 | 100 | 1 3 1 |
| 29.6 | 3.023 | 43 | 1 1 -4 |
| 29.9 | 2.984 | 56 | 1 4 -2 |
| 30.1 | 2.974 | 35 | 2 2 -3 |
| 31.6 | 2.831 | 45 | 2 1 0 |
| 33.5 | 2.673 | 22 | 1 4 1 |

---

[2]
The following is a simulated X-ray diffraction stick pattern of ScC. It was derived from a structure optimized by DFT (PBE), using Cu Kα (weighted mean of Kα1 and Kα2).
Peak positions follow from Bragg's law for the DFT cell and can differ from measured ones.

Atomic structure:
```
data_ScC
_chemical_formula_sum 'Sc1 C1'
_cell_length_a 2.879
_cell_length_b 2.879
_cell_length_c 2.879
_cell_angle_alpha 90.00
_cell_angle_beta 90.00
_cell_angle_gamma 90.00
_space_group_name_H-M_alt 'P m -3 m'
_space_group_IT_number 221
_space_group_name_Hall '-P 4 2 3'
loop_
_atom_site_label
_atom_site_fract_x
_atom_site_fract_y
_atom_site_fract_z
_atom_site_occupancy
Sc1 0.000 0.000 0.000 1
C1 0.500 0.500 0.500 1
```

Principal peaks in the range 2θ = 5–70°, in order of rising 2θ:
| two_theta | d [Å] | I (rel.) | h k l |
| --- | --- | --- | --- |
| 31.1 | 2.879 | 56 | 1 0 0 |
| 44.5 | 2.036 | 100 | 1 1 0 |
| 55.3 | 1.662 | 14 | 1 1 1 |
| 64.8 | 1.440 | 14 | 2 0 0 |

---

[3]
The following is a simulated X-ray diffraction stick pattern of Ce3Er. It was derived from a structure optimized by DFT (PBE), using Cu Kα (weighted mean of Kα1 and Kα2).
Peak positions follow from Bragg's law for the DFT cell and can differ from measured ones.

Atomic structure:
```
data_Ce3Er
_chemical_formula_sum 'Ce6 Er2'
_cell_length_a 4.828
_cell_length_b 4.828
_cell_length_c 9.848
_cell_angle_alpha 90.00
_cell_angle_beta 90.00
_cell_angle_gamma 90.00
_space_group_name_H-M_alt 'I 4/m m m'
_space_group_IT_number 139
_space_group_name_Hall '-I 4 2'
loop_
_atom_site_label
_atom_site_fract_x
_atom_site_fract_y
_atom_site_fract_z
_atom_site_occupancy
Ce1 0.000 0.000 0.000 1
Ce2 0.000 0.500 0.250 1
Er1 0.000 0.000 0.500 1
```

Principal peaks in the range 2θ = 5–70°, in order of rising 2θ:
| two_theta | d [Å] | I (rel.) | h k l |
| --- | --- | --- | --- |
| 20.5 | 4.335 | 1 | 1 0 1 |
| 31.9 | 2.806 | 100 | 1 1 2 |
| 36.5 | 2.462 | 17 | 0 0 4 |
| 37.2 | 2.414 | 33 | 2 0 0 |
| 53.1 | 1.724 | 24 | 2 0 4 |
| 53.7 | 1.707 | 11 | 2 2 0 |
| 62.8 | 1.479 | 14 | 1 1 6 |
| 63.8 | 1.458 | 27 | 3 1 2 |
| 66.7 | 1.403 | 12 | 2 2 4 |

---

[4]
The following is a simulated X-ray diffraction stick pattern of VPCl9. It was derived from a structure optimized by DFT (PBE), using Cu Kα (weighted mean of Kα1 and Kα2).
Peak positions follow from Bragg's law for the DFT cell and can differ from measured ones.

Atomic structure:
```
data_VPCl9
_chemical_formula_sum 'V4 P4 Cl36'
_cell_length_a 12.345
_cell_length_b 16.957
_cell_length_c 6.439
_cell_angle_alpha 90.00
_cell_angle_beta 90.00
_cell_angle_gamma 90.00
_space_group_name_H-M_alt 'C m m e'
_space_group_IT_number 67
_space_group_name_Hall '-C 2a 2'
loop_
_atom_site_label
_atom_site_fract_x
_atom_site_fract_y
_atom_site_fract_z
_atom_site_occupancy
V1 0.000 0.250 0.113 1
P1 0.250 0.000 0.500 1
Cl1 0.000 0.112 0.108 1
Cl2 0.000 0.250 0.770 1
Cl3 0.158 0.066 0.677 1
Cl4 0.158 0.250 0.268 1
```

Principal peaks in the range 2θ = 5–70°, in order of rising 2θ:
| two_theta | d [Å] | I (rel.) | h k l |
| --- | --- | --- | --- |
| 17.3 | 5.128 | 40 | 0 2 1 |
| 17.8 | 4.990 | 50 | 2 2 0 |
| 19.9 | 4.456 | 71 | 2 0 1 |
| 21.0 | 4.239 | 14 | 0 4 0 |
| 22.1 | 4.017 | 18 | 1 3 1 |
| 29.1 | 3.064 | 22 | 1 1 2 |
| 30.2 | 2.956 | 100 | 3 3 1 |
| 31.7 | 2.826 | 30 | 0 6 0 |
| 44.0 | 2.058 | 16 | 6 0 0 |
| 55.2 | 1.663 | 14 | 6 6 0 |

---

[5]
The following is a simulated X-ray diffraction stick pattern of TmNiGe2. It was derived from a structure optimized by DFT (PBE), using Cu Kα (weighted mean of Kα1 and Kα2).
Peak positions follow from Bragg's law for the DFT cell and can differ from measured ones.

Atomic structure:
```
data_TmNiGe2
_chemical_formula_sum 'Tm4 Ni4 Ge8'
_cell_length_a 4.027
_cell_length_b 16.655
_cell_length_c 4.172
_cell_angle_alpha 90.00
_cell_angle_beta 90.00
_cell_angle_gamma 90.00
_space_group_name_H-M_alt 'C m c m'
_space_group_IT_number 63
_space_group_name_Hall '-C 2c 2'
loop_
_atom_site_label
_atom_site_fract_x
_atom_site_fract_y
_atom_site_fract_z
_atom_site_occupancy
Tm1 0.000 0.108 0.250 1
Ni1 0.000 0.323 0.250 1
Ge1 0.000 0.253 0.750 1
Ge2 0.000 0.459 0.250 1
```

Principal peaks in the range 2θ = 5–70°, in order of rising 2θ:
| two_theta | d [Å] | I (rel.) | h k l |
| --- | --- | --- | --- |
| 31.3 | 2.854 | 16 | 1 1 1 |
| 34.9 | 2.568 | 100 | 1 3 1 |
| 39.0 | 2.311 | 19 | 0 6 1 |
| 43.4 | 2.086 | 21 | 0 0 2 |
| 45.0 | 2.013 | 18 | 2 0 0 |
| 48.9 | 1.863 | 12 | 0 8 1 |
| 54.6 | 1.681 | 9 | 1 9 0 |
| 56.9 | 1.619 | 14 | 1 5 2 |
| 61.0 | 1.518 | 10 | 2 6 1 |
| 64.3 | 1.449 | 13 | 2 0 2 |

---

Please write out number 1 again, unchanged.
The following is a simulated X-ray diffraction stick pattern of Ba3As14. It was derived from a structure optimized by DFT (PBE), using Cu Kα (weighted mean of Kα1 and Kα2).
Peak positions follow from Bragg's law for the DFT cell and can differ from measured ones.

Atomic structure:
```
data_Ba3As14
_chemical_formula_sum 'Ba6 As28'
_cell_length_a 6.938
_cell_length_b 13.950
_cell_length_c 12.480
_cell_angle_alpha 90.00
_cell_angle_beta 123.59
_cell_angle_gamma 90.00
_space_group_name_H-M_alt 'P 1 21/c 1'
_space_group_IT_number 14
_space_group_name_Hall '-P 2ybc'
loop_
_atom_site_label
_atom_site_fract_x
_atom_site_fract_y
_atom_site_fract_z
_atom_site_occupancy
Ba1 0.000 0.000 0.000 1
Ba2 0.197 0.158 0.384 1
As1 0.037 0.146 0.643 1
As2 0.253 0.220 0.134 1
As3 0.287 0.000 0.686 1
As4 0.315 0.081 0.873 1
As5 0.348 0.719 0.724 1
As6 0.352 0.686 0.531 1
As7 0.391 0.560 0.822 1
```

Principal peaks in the range 2θ = 5–70°, in order of rising 2θ:
| two_theta | d [Å] | I (rel.) | h k l |
| --- | --- | --- | --- |
| 15.3 | 5.786 | 25 | 0 2 1 |
| 18.0 | 4.919 | 21 | 1 2 -1 |
| 26.5 | 3.364 | 48 | 0 1 3 |
| 28.7 | 3.109 | 32 | 2 2 -2 |
| 28.8 | 3.102 | 100 | 1 3 1 |
| 29.6 | 3.023 | 43 | 1 1 -4 |
| 29.9 | 2.984 | 56 | 1 4 -2 |
| 30.1 | 2.974 | 35 | 2 2 -3 |
| 31.6 | 2.831 | 45 | 2 1 0 |
| 33.5 | 2.673 | 22 | 1 4 1 |